Entry 1:
Starting from DFT lattice parameters and positions (GGA-PBE), the X-ray diffraction stick pattern of Sc3Mn2Ga6 was computed for Cu Ka.

Crystal structure
Lattice parameters (Å, degrees): 8.079 8.542 10.578 90.00 90.00 90.00
Positions (direct):
1 Sc 0.041 0.250 0.064
2 Sc 0.063 0.555 0.639
3 Sc 0.063 0.945 0.639
4 Sc 0.437 0.055 0.139
5 Sc 0.437 0.445 0.139
6 Sc 0.459 0.750 0.564
7 Sc 0.541 0.250 0.436
8 Sc 0.563 0.555 0.861
9 Sc 0.563 0.945 0.861
10 Sc 0.937 0.055 0.361
11 Sc 0.937 0.445 0.361
12 Sc 0.959 0.750 0.936
13 Mn 0.139 0.250 0.766
14 Mn 0.191 0.250 0.517
15 Mn 0.309 0.750 0.017
16 Mn 0.361 0.750 0.266
17 Mn 0.639 0.250 0.734
18 Mn 0.691 0.250 0.983
19 Mn 0.809 0.750 0.483
20 Mn 0.861 0.750 0.234
21 Ga 0.093 0.750 0.414
22 Ga 0.117 0.583 0.155
23 Ga 0.117 0.917 0.155
24 Ga 0.206 0.006 0.914
25 Ga 0.206 0.494 0.914
26 Ga 0.221 0.250 0.281
27 Ga 0.279 0.750 0.781
28 Ga 0.294 0.506 0.414
29 Ga 0.294 0.994 0.414
30 Ga 0.383 0.083 0.655
31 Ga 0.383 0.417 0.655
32 Ga 0.407 0.250 0.914
33 Ga 0.593 0.750 0.086
34 Ga 0.617 0.583 0.345
35 Ga 0.617 0.917 0.345
36 Ga 0.706 0.006 0.586
37 Ga 0.706 0.494 0.586
38 Ga 0.721 0.250 0.219
39 Ga 0.779 0.750 0.719
40 Ga 0.794 0.506 0.086
41 Ga 0.794 0.994 0.086
42 Ga 0.883 0.083 0.845
43 Ga 0.883 0.417 0.845
44 Ga 0.907 0.250 0.586

Largest 10 diffraction maxima, sorted by position, 2θ = 10–80°:
2θ/deg, I_rel
37.53, 100
38.69, 34
39.97, 32
40.10, 42
40.51, 44
41.70, 40
42.20, 45
42.32, 35
43.24, 38
47.25, 39



Entry 2:
Starting from DFT lattice parameters and positions (GGA-PBE), the X-ray diffraction stick pattern of Mn2GaSe4 was computed for Cu Ka.

Crystal structure
Lattice parameters (Å, degrees): 7.632 7.632 7.622 119.90 119.90 59.95
Positions (direct):
1 Mn 0.000 0.000 0.000
2 Mn 0.000 0.000 0.500
3 Mn 0.000 0.500 0.000
4 Mn 0.500 0.000 0.000
5 Ga 0.375 0.375 0.625
6 Ga 0.625 0.625 0.375
7 Se 0.225 0.758 0.242
8 Se 0.242 0.242 0.225
9 Se 0.242 0.242 0.757
10 Se 0.242 0.775 0.758
11 Se 0.758 0.225 0.242
12 Se 0.758 0.758 0.243
13 Se 0.758 0.758 0.775
14 Se 0.775 0.242 0.758

Largest 10 diffraction maxima, sorted by position, 2θ = 10–80°:
2θ/deg, I_rel
23.31, 21
27.41, 47
28.65, 56
33.21, 87
43.50, 12
43.62, 23
47.66, 100
47.73, 20
56.61, 15
59.33, 19